For Pm3TmS6, the PBE geometry in Alexandria gives the calculated powder diffractogram in this record (CuKα).
No peak broadening, texture or thermal motion is included.

Unit cell a=6.726 b=7.338 c=12.075 alpha=90.00 beta=122.88 gamma=90.00
Fractional coordinates of all 20 atoms:
Pm  0.000  0.000  0.000
Pm  0.000  0.500  0.500
Pm  0.293  0.093  0.753
Pm  0.293  0.407  0.253
Pm  0.707  0.593  0.747
Pm  0.707  0.907  0.247
Tm  0.500  0.000  0.500
Tm  0.500  0.500  0.000
S  0.101  0.063  0.257
S  0.101  0.437  0.757
S  0.266  0.683  0.081
S  0.266  0.817  0.581
S  0.407  0.190  0.080
S  0.407  0.310  0.580
S  0.593  0.690  0.420
S  0.593  0.810  0.920
S  0.734  0.183  0.419
S  0.734  0.317  0.919
S  0.899  0.563  0.243
S  0.899  0.937  0.743

Largest 10 diffraction maxima, in order of falling intensity, 10° ≤ 2θ ≤ 80°:
2θ 25.0, rel. 100, hkl 1 1 1
2θ 25.3, rel. 99, hkl 1 1 -3
2θ 26.5, rel. 36, hkl 2 0 -2
2θ 36.2, rel. 31, hkl 2 2 -2
2θ 24.3, rel. 31, hkl 0 2 0
2θ 35.4, rel. 31, hkl 0 0 4
2θ 45.7, rel. 30, hkl 3 1 -1
2θ 46.2, rel. 27, hkl 3 1 -5
2θ 43.4, rel. 24, hkl 0 2 4
2θ 39.2, rel. 23, hkl 1 3 -1